1.
Diffraction record for Ba3Bi2PbO9. The X-ray diffraction stick pattern is calculated, not measured: it uses a crystal structure in Alexandria, relaxed with GGA-PBE and λ = 1.5418 Å (Cu Kα).

Principal peaks in the range 10 to 90 degrees two-theta, low angle first:
20.18 deg, rel. 93
28.69 deg, rel. 1000
41.01 deg, rel. 280
46.12 deg, rel. 47
50.82 deg, rel. 426
59.40 deg, rel. 183
63.40 deg, rel. 23
67.27 deg, rel. 189
74.71 deg, rel. 62
78.33 deg, rel. 10
81.90 deg, rel. 228
88.96 deg, rel. 31

Structure:
Cell: 6.2243 6.2243 7.6226 Å, 90.00 90.00 120.00°
Fractional positions:
Ba 0.0000 0.0000 0.0000
Ba 0.3333 0.6667 0.6620
Ba 0.6667 0.3333 0.3380
Bi 0.3333 0.6667 0.1674
Bi 0.6667 0.3333 0.8326
Pb 0.0000 0.0000 0.5000
O 0.0000 0.5000 0.0000
O 0.1673 0.3347 0.3342
O 0.1673 0.8327 0.3342
O 0.3347 0.1673 0.6658
O 0.5000 0.0000 0.0000
O 0.5000 0.5000 0.0000
O 0.6653 0.8327 0.3342
O 0.8327 0.1673 0.6658
O 0.8327 0.6653 0.6658


2.
Diffraction record for La2RuPb. The X-ray diffraction stick pattern is calculated, not measured: it uses a crystal structure in Alexandria, relaxed with GGA-PBE and λ = 1.5418 Å (Cu Kα).

Principal peaks in the range 10 to 90 degrees two-theta, low angle first:
26.04 deg, rel. 113
27.83 deg, rel. 397
28.30 deg, rel. 127
32.99 deg, rel. 166
34.14 deg, rel. 1000
36.25 deg, rel. 295
40.11 deg, rel. 115
42.43 deg, rel. 116
44.01 deg, rel. 137
58.29 deg, rel. 121
63.86 deg, rel. 163
67.70 deg, rel. 181

Structure:
Cell: 7.0055 7.0055 7.0055 Å, 150.60 138.57 51.61°
Fractional positions:
La 0.0000 0.0000 0.0000
La 0.6974 0.1974 0.5000
Ru 0.2007 0.7007 0.5000
Pb 0.3837 0.3837 0.0000


3.
Diffraction record for K4InF5. The X-ray diffraction stick pattern is calculated, not measured: it uses a crystal structure in Alexandria, relaxed with GGA-PBE and λ = 1.5418 Å (Cu Kα).

Principal peaks in the range 10 to 90 degrees two-theta, low angle first:
14.65 deg, rel. 255
19.03 deg, rel. 318
28.32 deg, rel. 817
32.17 deg, rel. 465
33.13 deg, rel. 1000
46.85 deg, rel. 613
47.56 deg, rel. 324
55.02 deg, rel. 158
56.29 deg, rel. 230
58.58 deg, rel. 289
79.23 deg, rel. 116
88.08 deg, rel. 160

Structure:
Cell: 6.6551 6.6551 6.6551 Å, 100.07 100.07 130.57°
Fractional positions:
K 0.1013 0.7007 0.8020
K 0.2993 0.1013 0.4006
K 0.7007 0.8987 0.5994
K 0.8987 0.2993 0.1980
In 0.5235 0.5235 0.0000
F 0.1205 0.1205 0.0000
F 0.1877 0.3905 0.5955
F 0.3905 0.7951 0.2028
F 0.5923 0.1877 0.7972
F 0.7951 0.5923 0.4045


4.
Diffraction record for Ca4Zr5. The X-ray diffraction stick pattern is calculated, not measured: it uses a crystal structure in Alexandria, relaxed with GGA-PBE and λ = 1.5418 Å (Cu Kα).

Principal peaks in the range 10 to 90 degrees two-theta, low angle first:
12.15 deg, rel. 340
31.85 deg, rel. 1000
36.80 deg, rel. 184
37.02 deg, rel. 298
40.55 deg, rel. 162
53.19 deg, rel. 199
53.35 deg, rel. 80
63.21 deg, rel. 127
63.49 deg, rel. 167
66.57 deg, rel. 79
77.15 deg, rel. 73
87.27 deg, rel. 68

Structure:
Cell: 7.6838 7.6838 7.6838 Å, 95.80 95.80 142.94°
Fractional positions:
Ca 0.0000 0.3175 0.3175
Ca 0.0000 0.6825 0.6825
Ca 0.3175 0.0000 0.3175
Ca 0.6825 0.0000 0.6825
Zr 0.0000 0.0000 0.0000
Zr 0.3535 0.3535 0.7069
Zr 0.3535 0.6465 0.0000
Zr 0.6465 0.3535 0.0000
Zr 0.6465 0.6465 0.2931


5.
Diffraction record for HgIrPb. The X-ray diffraction stick pattern is calculated, not measured: it uses a crystal structure in Alexandria, relaxed with GGA-PBE and λ = 1.5418 Å (Cu Kα).

Principal peaks in the range 10 to 90 degrees two-theta, low angle first:
13.54 deg, rel. 183
27.27 deg, rel. 79
27.71 deg, rel. 172
30.96 deg, rel. 326
39.28 deg, rel. 1000
39.60 deg, rel. 514
56.27 deg, rel. 77
57.24 deg, rel. 178
58.64 deg, rel. 111
70.98 deg, rel. 156
71.63 deg, rel. 354
84.47 deg, rel. 101

Structure:
Cell: 3.2188 3.2188 6.5396 Å, 90.00 90.00 90.00°
Fractional positions:
Hg 0.0000 0.0000 0.0000
Ir 0.5000 0.5000 0.2777
Pb 0.0000 0.0000 0.5419


6.
Diffraction record for Tm2CoNi3. The X-ray diffraction stick pattern is calculated, not measured: it uses a crystal structure in Alexandria, relaxed with GGA-PBE and λ = 1.5418 Å (Cu Kα).

Principal peaks in the range 10 to 90 degrees two-theta, low angle first:
27.95 deg, rel. 276
32.68 deg, rel. 234
33.51 deg, rel. 569
35.03 deg, rel. 1000
35.68 deg, rel. 640
43.86 deg, rel. 356
49.94 deg, rel. 258
50.86 deg, rel. 680
57.77 deg, rel. 308
68.61 deg, rel. 195
85.80 deg, rel. 147
86.10 deg, rel. 169

Structure:
Cell: 5.8822 5.8822 5.8822 Å, 138.91 129.34 67.19°
Fractional positions:
Tm 0.1888 0.1888 0.0000
Tm 0.8112 0.8112 0.0000
Co 0.5000 0.5000 0.0000
Ni 0.0000 0.5000 0.5000
Ni 0.3831 0.8831 0.5000
Ni 0.6169 0.1169 0.5000


7.
Diffraction record for Na3In4Hg2Pb2. The X-ray diffraction stick pattern is calculated, not measured: it uses a crystal structure in Alexandria, relaxed with GGA-PBE and λ = 1.5418 Å (Cu Kα).

Principal peaks in the range 10 to 90 degrees two-theta, low angle first:
19.67 deg, rel. 689
23.84 deg, rel. 225
26.84 deg, rel. 425
33.50 deg, rel. 622
34.42 deg, rel. 1000
44.18 deg, rel. 678
48.79 deg, rel. 216
61.07 deg, rel. 219
61.66 deg, rel. 184
66.80 deg, rel. 157
68.47 deg, rel. 186
78.94 deg, rel. 128

Structure:
Cell: 5.2110 5.2110 13.2853 Å, 90.00 90.00 120.00°
Fractional positions:
Na 0.0000 0.0000 0.0000
Na 0.0000 0.0000 0.2581
Na 0.0000 0.0000 0.7419
In 0.3333 0.6667 0.3594
In 0.3333 0.6667 0.8773
In 0.6667 0.3333 0.1227
In 0.6667 0.3333 0.6406
Hg 0.3333 0.6667 0.1222
Hg 0.6667 0.3333 0.8778
Pb 0.3333 0.6667 0.6004
Pb 0.6667 0.3333 0.3996


8.
Diffraction record for DyTh2Ni6. The X-ray diffraction stick pattern is calculated, not measured: it uses a crystal structure in Alexandria, relaxed with GGA-PBE and λ = 1.5418 Å (Cu Kα).

Principal peaks in the range 10 to 90 degrees two-theta, low angle first:
25.17 deg, rel. 295
34.94 deg, rel. 1000
44.35 deg, rel. 397
48.77 deg, rel. 100
51.68 deg, rel. 46
55.66 deg, rel. 74
57.67 deg, rel. 236
68.03 deg, rel. 217
70.42 deg, rel. 38
75.53 deg, rel. 212
81.65 deg, rel. 65
82.06 deg, rel. 86

Structure:
Cell: 7.0750 7.0750 3.7348 Å, 90.00 90.00 120.00°
Fractional positions:
Dy 0.0000 0.0000 0.0000
Th 0.3333 0.6667 0.0000
Th 0.6667 0.3333 0.0000
Ni 0.0000 0.3329 0.5000
Ni 0.0000 0.6671 0.5000
Ni 0.3329 0.0000 0.5000
Ni 0.3329 0.3329 0.5000
Ni 0.6671 0.0000 0.5000
Ni 0.6671 0.6671 0.5000


9.
Diffraction record for Tb6Pr16Ho7. The X-ray diffraction stick pattern is calculated, not measured: it uses a crystal structure in Alexandria, relaxed with GGA-PBE and λ = 1.5418 Å (Cu Kα).

Principal peaks in the range 10 to 90 degrees two-theta, low angle first:
15.58 deg, rel. 47
27.15 deg, rel. 61
28.83 deg, rel. 78
31.45 deg, rel. 1000
32.93 deg, rel. 48
35.28 deg, rel. 45
43.19 deg, rel. 50
45.07 deg, rel. 150
55.99 deg, rel. 286
59.42 deg, rel. 48
65.65 deg, rel. 80
74.61 deg, rel. 85

Structure:
Cell: 11.3778 11.3778 11.3778 Å, 60.00 60.00 60.00°
Fractional positions:
Tb 0.2354 0.2354 0.7646
Tb 0.2354 0.7646 0.2354
Tb 0.2354 0.7646 0.7646
Tb 0.7646 0.2354 0.2354
Tb 0.7646 0.2354 0.7646
Tb 0.7646 0.7646 0.2354
Pr 0.1242 0.6253 0.6253
Pr 0.1489 0.1489 0.1489
Pr 0.1489 0.1489 0.5532
Pr 0.1489 0.5532 0.1489
Pr 0.3747 0.3747 0.3747
Pr 0.3747 0.3747 0.8758
Pr 0.3747 0.8758 0.3747
Pr 0.4468 0.8511 0.8511
Pr 0.5532 0.1489 0.1489
Pr 0.6253 0.1242 0.6253
Pr 0.6253 0.6253 0.1242
Pr 0.6253 0.6253 0.6253
Pr 0.8511 0.4468 0.8511
Pr 0.8511 0.8511 0.4468
Pr 0.8511 0.8511 0.8511
Pr 0.8758 0.3747 0.3747
Ho 0.0000 0.0000 0.5000
Ho 0.0000 0.5000 0.0000
Ho 0.0000 0.5000 0.5000
Ho 0.5000 0.0000 0.0000
Ho 0.5000 0.0000 0.5000
Ho 0.5000 0.5000 0.0000
Ho 0.5000 0.5000 0.5000


10.
Diffraction record for NaAgTe4As2. The X-ray diffraction stick pattern is calculated, not measured: it uses a crystal structure in Alexandria, relaxed with GGA-PBE and λ = 1.5418 Å (Cu Kα).

Principal peaks in the range 10 to 90 degrees two-theta, low angle first:
14.53 deg, rel. 645
20.18 deg, rel. 580
27.15 deg, rel. 380
29.30 deg, rel. 787
31.28 deg, rel. 1000
34.90 deg, rel. 507
39.91 deg, rel. 366
40.48 deg, rel. 327
42.95 deg, rel. 313
43.81 deg, rel. 250
44.80 deg, rel. 273
46.35 deg, rel. 251

Structure:
Cell: 6.9081 6.9081 6.9081 Å, 124.09 104.55 100.85°
Fractional positions:
Na 0.0000 0.0000 0.0000
Ag 0.5000 0.5000 0.0000
Te 0.0629 0.1006 0.6249
Te 0.4757 0.4379 0.3751
Te 0.5243 0.8994 0.9622
Te 0.9371 0.5621 0.0378
As 0.3530 0.8530 0.5000
As 0.6470 0.1470 0.5000


11.
Diffraction record for Tl5Te2Br2. The X-ray diffraction stick pattern is calculated, not measured: it uses a crystal structure in Alexandria, relaxed with GGA-PBE and λ = 1.5418 Å (Cu Kα).

Principal peaks in the range 10 to 90 degrees two-theta, low angle first:
22.62 deg, rel. 234
27.66 deg, rel. 825
28.70 deg, rel. 206
29.35 deg, rel. 372
30.15 deg, rel. 176
31.11 deg, rel. 744
31.85 deg, rel. 210
32.62 deg, rel. 1000
35.03 deg, rel. 186
44.03 deg, rel. 178
50.10 deg, rel. 274
60.75 deg, rel. 189

Structure:
Cell: 9.5047 9.5047 8.8125 Å, 90.00 90.00 55.06°
Fractional positions:
Tl 0.0000 0.0000 0.0000
Tl 0.0249 0.7035 0.6593
Tl 0.2035 0.5249 0.1593
Tl 0.2965 0.9751 0.6593
Tl 0.4751 0.7965 0.1593
Tl 0.5000 0.5000 0.5000
Tl 0.5249 0.2035 0.8407
Tl 0.7035 0.0249 0.3407
Tl 0.7965 0.4751 0.8407
Tl 0.9751 0.2965 0.3407
Te 0.1397 0.8603 0.3587
Te 0.3603 0.6397 0.8587
Te 0.6397 0.3603 0.1413
Te 0.8603 0.1397 0.6413
Br 0.1944 0.1944 0.0000
Br 0.3056 0.3056 0.5000
Br 0.6944 0.6944 0.5000
Br 0.8056 0.8056 0.0000


12.
Diffraction record for TmIn2Ru. The X-ray diffraction stick pattern is calculated, not measured: it uses a crystal structure in Alexandria, relaxed with GGA-PBE and λ = 1.5418 Å (Cu Kα).

Principal peaks in the range 10 to 90 degrees two-theta, low angle first:
29.05 deg, rel. 278
31.83 deg, rel. 830
32.08 deg, rel. 425
35.08 deg, rel. 270
35.94 deg, rel. 968
36.65 deg, rel. 1000
37.44 deg, rel. 287
39.98 deg, rel. 367
41.05 deg, rel. 440
42.00 deg, rel. 333
60.70 deg, rel. 245
65.35 deg, rel. 297

Structure:
Cell: 14.8537 8.6045 5.4500 Å, 90.00 90.00 90.00°
Fractional positions:
Tm 0.1032 0.2500 0.2488
Tm 0.1389 0.7500 0.0295
Tm 0.3611 0.2500 0.5295
Tm 0.3968 0.7500 0.7488
Tm 0.6032 0.2500 0.2512
Tm 0.6389 0.7500 0.4705
Tm 0.8611 0.2500 0.9705
Tm 0.8968 0.7500 0.7512
In 0.0381 0.0432 0.7510
In 0.0381 0.4568 0.7510
In 0.2139 0.5480 0.5113
In 0.2139 0.9520 0.5113
In 0.2861 0.0480 0.0113
In 0.2861 0.4520 0.0113
In 0.4619 0.5432 0.2510
In 0.4619 0.9568 0.2510
In 0.5381 0.0432 0.7490
In 0.5381 0.4568 0.7490
In 0.7139 0.5480 0.9887
In 0.7139 0.9520 0.9887
In 0.7861 0.0480 0.4887
In 0.7861 0.4520 0.4887
In 0.9619 0.5432 0.2490
In 0.9619 0.9568 0.2490
Ru 0.0672 0.7500 0.5197
Ru 0.1825 0.2500 0.7338
Ru 0.3175 0.7500 0.2338
Ru 0.4328 0.2500 0.0197
Ru 0.5672 0.7500 0.9803
Ru 0.6825 0.2500 0.7662
Ru 0.8175 0.7500 0.2662
Ru 0.9328 0.2500 0.4803